Structure and computed powder diffractogram of NaMnH3 (DFT lattice parameters and positions (GGA-PBE); Cu Kα (weighted mean of Kα1 and Kα2)).
Lines closer than 0.1° are merged.

Most intense lines, 2θ = 5–70°, low angle first:
- (0 1 0), 17.24°, 5.142 Å, I = 100
- (0 1 -1), 18.57°, 4.778 Å, I = 47
- (-1 1 1), 31.27°, 2.860 Å, I = 40
- (0 2 -1), 31.69°, 2.824 Å, I = 69
- (1 1 0), 38.38°, 2.345 Å, I = 27
- (1 1 -2), 38.54°, 2.336 Å, I = 17
- (1 0 -3), 51.02°, 1.790 Å, I = 24
- (1 0 2), 53.29°, 1.719 Å, I = 17

Cell and atoms:
Unit cell a=3.457 b=5.834 c=5.838 alpha=109.92 beta=103.73 gamma=103.74
Space group P-1 (No. 2)
Unique sites:
Na1 0.001 0.312 0.188 x2
Mn1 0.288 0.100 0.600 x2
H1 0.294 0.154 0.889 x2
H2 0.295 0.390 0.657 x2
H3 0.499 0.870 0.628 x2

---

Structure and computed powder diffractogram of K2InPb6 (DFT lattice parameters and positions (GGA-PBE); Cu Kα (weighted mean of Kα1 and Kα2)).
Lines closer than 0.1° are merged.

Most intense lines, 2θ = 5–70°, low angle first:
- (3 1 0), 17.83°, 4.976 Å, I = 31
- (0 0 1), 25.92°, 3.437 Å, I = 27
- (6 0 0), 31.13°, 2.873 Å, I = 100
- (3 1 -1), 31.64°, 2.828 Å, I = 63
- (6 0 -1), 40.94°, 2.204 Å, I = 50
- (0 4 1), 44.98°, 2.015 Å, I = 24
- (6 4 -1), 55.72°, 1.650 Å, I = 25
- (6 0 -2), 63.03°, 1.475 Å, I = 27

Cell and atoms:
Unit cell a=17.234 b=9.953 c=3.437 alpha=90.00 beta=90.08 gamma=90.00
Space group C2/m (No. 12)
Unique sites:
K1 0.167 0.000 0.000 x4
In1 0.000 0.500 0.000 x2
Pb1 0.000 0.176 0.500 x4
Pb2 0.162 0.338 0.498 x8

---

Structure and computed powder diffractogram of Na2AcAu3 (DFT lattice parameters and positions (GGA-PBE); Cu Kα (weighted mean of Kα1 and Kα2)).
Lines closer than 0.1° are merged.

Most intense lines, 2θ = 5–70°, low angle first:
- (1 0 1), 21.38°, 4.155 Å, I = 41
- (0 1 2), 24.16°, 3.684 Å, I = 36
- (1 0 4), 33.12°, 2.705 Å, I = 99
- (1 1 0), 35.69°, 2.516 Å, I = 100
- (0 1 5), 38.62°, 2.331 Å, I = 34
- (0 2 4), 49.48°, 1.842 Å, I = 33
- (2 1 4), 62.49°, 1.486 Å, I = 33
- (3 0 0), 64.11°, 1.453 Å, I = 19

Cell and atoms:
Unit cell a=5.0318 b=5.0318 c=13.7982 alpha=90.00 beta=90.00 gamma=120.00
Space group P-3m1 (No. 164)
Unique sites:
Na1 0.0000 0.0000 0.0000 x1
Na2 0.0000 0.0000 0.5000 x1
Na3 0.3333 0.6667 0.1348 x2
Ac1 0.3333 0.6667 0.6754 x2
Au1 0.0000 0.0000 0.2188 x2
Au2 0.3333 0.6667 0.4382 x2
Au3 0.3333 0.6667 0.9047 x2

---

Structure and computed powder diffractogram of Hg5Cl (DFT lattice parameters and positions (GGA-PBE); Cu Kα (weighted mean of Kα1 and Kα2)).
Lines closer than 0.1° are merged.

Most intense lines, 2θ = 5–70°, low angle first:
- (2 0 0), 28.58°, 3.123 Å, I = 51
- (0 1 3), 28.84°, 3.095 Å, I = 100
- (0 0 6), 40.78°, 2.213 Å, I = 20
- (2 1 3), 41.06°, 2.198 Å, I = 79
- (0 2 0), 41.70°, 2.166 Å, I = 19
- (2 0 6), 50.56°, 1.805 Å, I = 21
- (2 2 0), 51.34°, 1.780 Å, I = 21
- (4 1 3), 67.14°, 1.394 Å, I = 19

Cell and atoms:
Unit cell a=6.246 b=4.332 c=13.275 alpha=90.00 beta=90.00 gamma=90.00
Space group Amm2 (No. 38)
Unique sites:
Hg1 0.000 0.000 0.000 x2
Hg2 0.000 0.000 0.326 x2
Hg3 0.000 0.000 0.663 x2
Hg4 0.500 0.000 0.000 x2
Hg5 0.500 0.000 0.334 x2
Cl1 0.500 0.000 0.667 x2

---

Structure and computed powder diffractogram of InCo2Cu (DFT lattice parameters and positions (GGA-PBE); Cu Kα (weighted mean of Kα1 and Kα2)).
Lines closer than 0.1° are merged.

Most intense lines, 2θ = 5–70°, low angle first:
- (3 1 -2), 36.47°, 2.464 Å, I = 26
- (0 2 1), 38.78°, 2.322 Å, I = 51
- (0 0 2), 39.04°, 2.307 Å, I = 24
- (4 0 -2), 40.84°, 2.209 Å, I = 70
- (2 0 1), 43.47°, 2.082 Å, I = 51
- (2 2 0), 43.65°, 2.074 Å, I = 100
- (2 2 -2), 44.46°, 2.038 Å, I = 93
- (2 0 -3), 45.10°, 2.010 Å, I = 47

Cell and atoms:
Unit cell a=8.846 b=5.374 c=6.258 alpha=90.00 beta=132.49 gamma=90.00
Space group Cm (No. 8)
Unique sites:
In1 0.000 0.000 0.000 x2
In2 0.038 0.500 0.663 x2
Co1 0.058 0.000 0.637 x2
Co2 0.321 0.268 0.171 x4
Co3 0.437 0.000 0.995 x2
Cu1 0.214 0.264 0.484 x4

---

Structure and computed powder diffractogram of DyTm2Sb2 (DFT lattice parameters and positions (GGA-PBE); Cu Kα (weighted mean of Kα1 and Kα2)).
Lines closer than 0.1° are merged.

Most intense lines, 2θ = 5–70°, low angle first:
- (0 0 2), 27.89°, 3.199 Å, I = 20
- (0 2 2), 29.56°, 3.021 Å, I = 17
- (1 5 0), 30.82°, 2.901 Å, I = 100
- (1 5 1), 33.93°, 2.642 Å, I = 27
- (1 1 2), 34.19°, 2.623 Å, I = 65
- (1 3 2), 36.98°, 2.431 Å, I = 31
- (2 0 0), 38.12°, 2.361 Å, I = 37
- (1 5 2), 42.05°, 2.149 Å, I = 18

Cell and atoms:
Unit cell a=4.721 b=18.384 c=6.398 alpha=90.00 beta=90.00 gamma=90.00
Space group Cmc2_1 (No. 36)
Unique sites:
Dy1 0.000 0.111 0.000 x4
Tm1 0.000 0.315 0.913 x4
Tm2 0.000 0.490 0.241 x4
Sb1 0.000 0.070 0.481 x4
Sb2 0.000 0.292 0.401 x4

---

Structure and computed powder diffractogram of Zn9PtRh2 (DFT lattice parameters and positions (GGA-PBE); Cu Kα (weighted mean of Kα1 and Kα2)).
Lines closer than 0.1° are merged.

Most intense lines, 2θ = 5–70°, low angle first:
- (1 2 1), 40.21°, 2.243 Å, I = 100
- (-1 1 2), 40.28°, 2.239 Å, I = 48
- (2 0 2), 41.08°, 2.197 Å, I = 47
- (1 -2 1), 46.24°, 1.963 Å, I = 33
- (2 1 -1), 47.40°, 1.918 Å, I = 30
- (1 1 4), 47.50°, 1.914 Å, I = 31
- (1 3 -2), 67.72°, 1.384 Å, I = 10
- (2 -1 5), 69.03°, 1.361 Å, I = 18

Cell and atoms:
Unit cell a=4.657 b=4.810 c=8.140 alpha=85.15 beta=73.96 gamma=81.26
Space group P-1 (No. 2)
Unique sites:
Zn1 0.000 0.000 0.000 x1
Zn2 0.080 0.256 0.417 x2
Zn3 0.173 0.507 0.839 x2
Zn4 0.269 0.747 0.236 x2
Zn5 0.338 0.996 0.665 x2
Pt1 0.500 0.500 0.500 x1
Rh1 0.396 0.247 0.098 x2

---

Structure and computed powder diffractogram of CrTcAuI (DFT lattice parameters and positions (GGA-PBE); Cu Kα (weighted mean of Kα1 and Kα2)).
Lines closer than 0.1° are merged.

Most intense lines, 2θ = 5–70°, low angle first:
- (0 0 2), 14.61°, 6.064 Å, I = 36
- (1 0 1), 27.31°, 3.266 Å, I = 68
- (0 1 3), 30.09°, 2.970 Å, I = 88
- (1 1 0), 33.43°, 2.681 Å, I = 43
- (1 1 2), 36.65°, 2.452 Å, I = 36
- (0 2 0), 41.26°, 2.188 Å, I = 36
- (1 1 4), 45.15°, 2.008 Å, I = 100
- (1 2 1), 50.18°, 1.818 Å, I = 26

Cell and atoms:
Unit cell a=3.391 b=4.377 c=12.129 alpha=90.00 beta=90.00 gamma=90.00
Space group Imm2 (No. 44)
Unique sites:
Cr1 0.000 0.000 0.000 x2
Tc1 0.000 0.500 0.378 x2
Au1 0.000 0.000 0.516 x2
I1 0.000 0.000 0.235 x2